(1)
Starting from DFT lattice parameters and positions (GGA-PBE), the X-ray powder pattern of Sn4Pt was computed for Cu Kα.

Crystal structure
```
Sn4Pt
1.0
3.247 -5.856 0.000
3.247 5.856 0.000
0.000 0.000 6.474
Sn Pt
8 2
direct
0.045 0.293 0.082
0.207 0.455 0.582
0.293 0.045 0.582
0.455 0.207 0.082
0.545 0.793 0.918
0.707 0.955 0.418
0.793 0.545 0.418
0.955 0.707 0.918
0.250 0.750 0.250
0.750 0.250 0.750
```

Principal peaks in the range 15° ≤ 2θ ≤ 90°, in order of falling intensity:
2θ (°)	d (Å)	I_rel
34.49	2.600	100
41.56	2.173	92
30.06	2.972	84
31.82	2.812	64
44.82	2.022	49
44.94	2.017	48

(2)
Starting from DFT lattice parameters and positions (GGA-PBE), the X-ray powder pattern of Sn3Pt was computed for Cu Kα.

Crystal structure
```
Sn3Pt
1.0
6.540 0.000 0.000
-3.270 5.663 0.000
0.000 0.000 5.518
Sn Pt
6 2
direct
0.000 0.292 0.000
0.000 0.708 0.500
0.292 0.000 0.000
0.292 0.292 0.500
0.708 0.000 0.500
0.708 0.708 0.000
0.333 0.667 0.250
0.667 0.333 0.750
```

Principal peaks in the range 15° ≤ 2θ ≤ 90°, in order of falling intensity:
2θ (°)	d (Å)	I_rel
31.81	2.813	100
22.50	3.952	74
42.89	2.109	66
48.20	1.888	43
45.45	1.996	41
35.64	2.519	23

(3)
Starting from DFT lattice parameters and positions (GGA-PBE), the X-ray powder pattern of Sn2Pt13 was computed for Cu Kα.

Crystal structure
```
Sn2Pt13
1.0
3.645 2.104 6.619
-3.645 2.104 6.619
0.000 -4.209 6.619
Sn Pt
2 13
direct
0.237 0.237 0.237
0.763 0.763 0.763
0.000 0.000 0.000
0.024 0.024 0.635
0.024 0.635 0.024
0.246 0.246 0.606
0.246 0.606 0.246
0.365 0.976 0.976
0.394 0.754 0.754
0.606 0.246 0.246
0.635 0.024 0.024
0.754 0.394 0.754
0.754 0.754 0.394
0.976 0.365 0.976
0.976 0.976 0.365
```

Principal peaks in the range 15° ≤ 2θ ≤ 90°, in order of falling intensity:
2θ (°)	d (Å)	I_rel
42.01	2.151	100
45.21	2.006	66
28.63	3.118	54
38.99	2.310	53
37.98	2.369	52
42.86	2.110	46

(4)
Starting from DFT lattice parameters and positions (GGA-PBE), the X-ray powder pattern of Sr3Sn4Pt4 was computed for Cu Kα.

Crystal structure
```
Sr3Sn4Pt4
1.0
-2.336 2.346 13.183
2.336 -2.346 13.183
2.336 2.346 -13.183
Sr Sn Pt
3 4 4
direct
0.000 0.000 0.000
0.350 0.850 0.500
0.650 0.150 0.500
0.200 0.700 0.500
0.446 0.446 0.000
0.554 0.554 0.000
0.800 0.300 0.500
0.099 0.599 0.500
0.249 0.249 0.000
0.751 0.751 0.000
0.901 0.401 0.500
```

Principal peaks in the range 15° ≤ 2θ ≤ 90°, in order of falling intensity:
2θ (°)	d (Å)	I_rel
30.21	2.959	100
43.90	2.063	49
38.54	2.336	43
38.37	2.346	38
30.48	2.933	36
19.28	4.603	36

(5)
Starting from DFT lattice parameters and positions (GGA-PBE), the X-ray powder pattern of Sr2Sn6Pt was computed for Cu Kα.

Crystal structure
```
Sr2Sn6Pt
1.0
6.831 0.000 0.000
-3.416 5.916 0.000
0.000 0.000 6.113
Sr Sn Pt
2 6 1
direct
0.333 0.667 0.168
0.667 0.333 0.832
0.172 0.345 0.691
0.172 0.828 0.691
0.345 0.172 0.309
0.655 0.828 0.691
0.828 0.172 0.309
0.828 0.655 0.309
0.000 0.000 0.000
```

Principal peaks in the range 15° ≤ 2θ ≤ 90°, in order of falling intensity:
2θ (°)	d (Å)	I_rel
33.66	2.663	100
29.97	2.982	30
42.53	2.126	30
53.67	1.708	27
32.98	2.716	20
64.86	1.438	15

(6)
Starting from DFT lattice parameters and positions (GGA-PBE), the X-ray powder pattern of TbSnPt was computed for Cu Kα.

Crystal structure
```
TbSnPt
1.0
7.256 0.000 0.000
0.000 4.574 0.000
0.000 0.000 8.045
Tb Sn Pt
4 4 4
direct
0.012 0.250 0.195
0.488 0.750 0.695
0.512 0.250 0.305
0.988 0.750 0.805
0.177 0.250 0.584
0.323 0.750 0.084
0.677 0.250 0.916
0.823 0.750 0.416
0.218 0.750 0.409
0.282 0.250 0.909
0.718 0.750 0.091
0.782 0.250 0.591
```

Principal peaks in the range 15° ≤ 2θ ≤ 90°, in order of falling intensity:
2θ (°)	d (Å)	I_rel
33.44	2.680	100
38.92	2.314	91
32.10	2.789	48
39.40	2.287	46
33.26	2.694	34
63.50	1.465	24

(7)
Starting from DFT lattice parameters and positions (GGA-PBE), the X-ray powder pattern of Tb12SnPt6 was computed for Cu Kα.

Crystal structure
```
Tb12SnPt6
1.0
-5.017 5.017 5.017
5.017 -5.017 5.017
5.017 5.017 -5.017
Tb Sn Pt
12 1 6
direct
0.120 0.819 0.300
0.181 0.300 0.481
0.181 0.700 0.880
0.300 0.120 0.819
0.300 0.481 0.181
0.481 0.181 0.300
0.519 0.819 0.700
0.700 0.519 0.819
0.700 0.880 0.181
0.819 0.300 0.120
0.819 0.700 0.519
0.880 0.181 0.700
0.000 0.000 0.000
0.138 0.638 0.500
0.362 0.500 0.862
0.500 0.138 0.638
0.500 0.862 0.362
0.638 0.500 0.138
0.862 0.362 0.500
```

Principal peaks in the range 15° ≤ 2θ ≤ 90°, in order of falling intensity:
2θ (°)	d (Å)	I_rel
33.42	2.681	100
46.13	1.968	26
56.54	1.628	21
54.91	1.672	16
82.75	1.166	15
38.05	2.365	14

(8)
Starting from DFT lattice parameters and positions (GGA-PBE), the X-ray powder pattern of TbSnPt was computed for Cu Kα.

Crystal structure
```
TbSnPt
1.0
7.536 0.000 0.000
-3.768 6.526 0.000
0.000 0.000 4.038
Tb Sn Pt
3 3 3
direct
0.000 0.406 0.000
0.406 0.000 0.000
0.594 0.594 0.000
0.000 0.742 0.500
0.258 0.258 0.500
0.742 0.000 0.500
0.000 0.000 0.000
0.333 0.667 0.500
0.667 0.333 0.500
```

Principal peaks in the range 15° ≤ 2θ ≤ 90°, in order of falling intensity:
2θ (°)	d (Å)	I_rel
35.37	2.538	100
32.50	2.755	82
41.51	2.175	48
42.97	2.105	40
66.62	1.404	35
36.43	2.467	33

(9)
Starting from DFT lattice parameters and positions (GGA-PBE), the X-ray powder pattern of Tb7Sn2Pt2 was computed for Cu Kα.

Crystal structure
```
Tb7Sn2Pt2
1.0
4.157 -5.540 0.000
4.157 5.540 0.000
0.000 0.000 7.059
Tb Sn Pt
7 2 2
direct
0.000 0.000 0.000
0.000 0.500 0.253
0.000 0.500 0.747
0.500 0.000 0.253
0.500 0.000 0.747
0.500 0.500 0.242
0.500 0.500 0.758
0.179 0.179 0.500
0.821 0.821 0.500
0.285 0.715 0.000
0.715 0.285 0.000
```

Principal peaks in the range 15° ≤ 2θ ≤ 90°, in order of falling intensity:
2θ (°)	d (Å)	I_rel
37.15	2.420	100
32.32	2.770	56
24.86	3.582	44
36.85	2.439	41
33.31	2.690	29
28.64	3.117	29

(10)
Starting from DFT lattice parameters and positions (GGA-PBE), the X-ray powder pattern of Sn2TePt2 was computed for Cu Kα.

Crystal structure
```
Sn2TePt2
1.0
-2.195 2.195 5.954
2.195 -2.195 5.954
2.195 2.195 -5.954
Sn Te Pt
2 1 2
direct
0.250 0.750 0.500
0.750 0.250 0.500
0.000 0.000 0.000
0.386 0.386 0.000
0.614 0.614 0.000
```

Principal peaks in the range 15° ≤ 2θ ≤ 90°, in order of falling intensity:
2θ (°)	d (Å)	I_rel
32.53	2.752	100
41.13	2.195	85
30.36	2.944	76
42.06	2.148	68
43.22	2.093	58
21.58	4.119	42

(11)
Starting from DFT lattice parameters and positions (GGA-PBE), the X-ray powder pattern of Sn3Te3Pt2 was computed for Cu Kα.

Crystal structure
```
Sn3Te3Pt2
1.0
6.825 3.941 5.594
-6.825 3.941 5.594
0.000 -7.881 5.594
Sn Te Pt
12 12 8
direct
0.001 0.156 0.667
0.156 0.667 0.001
0.166 0.503 0.344
0.333 0.999 0.844
0.344 0.166 0.503
0.497 0.656 0.834
0.503 0.344 0.166
0.656 0.834 0.497
0.667 0.001 0.156
0.834 0.497 0.656
0.844 0.333 0.999
0.999 0.844 0.333
0.003 0.153 0.348
0.153 0.348 0.003
0.153 0.497 0.653
0.347 0.847 0.503
0.348 0.003 0.153
0.497 0.653 0.153
0.503 0.347 0.847
0.652 0.997 0.847
0.653 0.153 0.497
0.847 0.503 0.347
0.847 0.652 0.997
0.997 0.847 0.652
0.246 0.751 0.249
0.249 0.246 0.751
0.249 0.751 0.754
0.254 0.254 0.254
0.746 0.746 0.746
0.751 0.249 0.246
0.751 0.754 0.249
0.754 0.249 0.751
```

Principal peaks in the range 15° ≤ 2θ ≤ 90°, in order of falling intensity:
2θ (°)	d (Å)	I_rel
29.22	3.056	100
41.80	2.161	82
18.36	4.832	52
46.04	1.971	42
26.08	3.417	22
34.77	2.580	16

(12)
Starting from DFT lattice parameters and positions (GGA-PBE), the X-ray powder pattern of ThSnPt3 was computed for Cu Kα.

Crystal structure
```
ThSnPt3
1.0
7.379 0.000 0.000
0.000 3.936 0.000
-1.432 0.000 8.237
Th Sn Pt
2 2 6
direct
0.235 0.000 0.318
0.765 0.000 0.682
0.321 0.500 0.743
0.679 0.500 0.257
0.000 0.500 0.500
0.008 0.500 0.843
0.340 0.500 0.080
0.500 0.500 0.500
0.660 0.500 0.920
0.992 0.500 0.157
```

Principal peaks in the range 15° ≤ 2θ ≤ 90°, in order of falling intensity:
2θ (°)	d (Å)	I_rel
22.59	3.936	100
37.52	2.397	97
40.04	2.252	65
33.56	2.670	65
46.13	1.968	58
60.90	1.521	56